1.
For Ca2B4Os3, a DFT-relaxed cell (GGA-PBE, Alexandria) gives the simulated X-ray diffraction stick pattern in this record (Cu Kα (λ = 1.5418 Å)).
Intensities are scaled so that the largest is 100.

Principal peaks in the range 10° ≤ 2θ ≤ 80°, by angle:
17.1 deg, I 100, (0 0 2)
19.8 deg, I 23, (1 1 1)
31.5 deg, I 22, (1 1 3)
36.1 deg, I 45, (2 2 0)
37.5 deg, I 21, (0 4 0)
40.2 deg, I 48, (2 2 2)
41.5 deg, I 35, (0 4 2)
50.8 deg, I 26, (2 2 4)
65.8 deg, I 17, (2 2 6)
66.7 deg, I 23, (2 6 0)

Structure:
```
data_Ca2B4Os3
_cell_length_a 5.8233
_cell_length_b 9.6021
_cell_length_c 10.3734
_cell_angle_alpha 90.00
_cell_angle_beta 90.00
_cell_angle_gamma 90.00
_space_group_name_H-M_alt 'F m m m'
_space_group_IT_number 69
_space_group_name_Hall '-F 2 2'
loop_
_atom_site_label
_atom_site_fract_x
_atom_site_fract_y
_atom_site_fract_z
Ca1 0.0000 0.0000 0.1546
B1 0.0000 0.1743 0.3753
Os1 0.0000 0.0000 0.5000
Os2 0.2500 0.2500 0.0000
```

2.
For Ac5MgSn3, a DFT-relaxed cell (GGA-PBE, Alexandria) gives the simulated X-ray diffraction stick pattern in this record (Cu Kα (λ = 1.5418 Å)).
Intensities are scaled so that the largest is 100.

Principal peaks in the range 10° ≤ 2θ ≤ 80°, by angle:
10.0 deg, I 6, (1 0 0)
21.4 deg, I 7, (1 1 1)
26.8 deg, I 11, (2 1 0)
29.6 deg, I 15, (2 1 1)
30.5 deg, I 100, (3 0 0)
43.6 deg, I 17, (2 2 2)
46.7 deg, I 10, (3 2 1)
54.1 deg, I 20, (3 3 0)
59.9 deg, I 9, (5 1 1)
60.4 deg, I 15, (3 0 4)

Structure:
```
data_Ac5MgSn3
_cell_length_a 10.1759
_cell_length_b 10.1759
_cell_length_c 7.1797
_cell_angle_alpha 90.00
_cell_angle_beta 90.00
_cell_angle_gamma 120.00
_space_group_name_H-M_alt 'P 63/m c m'
_space_group_IT_number 193
_space_group_name_Hall '-P 6c 2'
loop_
_atom_site_label
_atom_site_fract_x
_atom_site_fract_y
_atom_site_fract_z
Ac1 0.0000 0.2923 0.2500
Ac2 0.3333 0.6667 0.0000
Mg1 0.0000 0.0000 0.0000
Sn1 0.0000 0.3664 0.7500
```

3.
For RbNaHgO2, a DFT-relaxed cell (GGA-PBE, Alexandria) gives the simulated X-ray diffraction stick pattern in this record (Cu Kα (λ = 1.5418 Å)).
Intensities are scaled so that the largest is 100.

Principal peaks in the range 10° ≤ 2θ ≤ 80°, by angle:
13.8 deg, I 67, (0 2 0)
16.3 deg, I 34, (0 0 1)
21.4 deg, I 100, (0 2 1)
27.8 deg, I 49, (0 4 0)
27.9 deg, I 54, (2 0 0)
35.5 deg, I 88, (2 2 1)
35.9 deg, I 47, (0 2 2)
43.3 deg, I 29, (2 4 1)
46.1 deg, I 32, (2 2 2)
54.3 deg, I 27, (2 6 1)

Structure:
```
data_RbNaHgO2
_cell_length_a 6.3915
_cell_length_b 12.8362
_cell_length_c 5.4334
_cell_angle_alpha 90.00
_cell_angle_beta 90.00
_cell_angle_gamma 90.00
_space_group_name_H-M_alt 'C m m e'
_space_group_IT_number 67
_space_group_name_Hall '-C 2a 2'
loop_
_atom_site_label
_atom_site_fract_x
_atom_site_fract_y
_atom_site_fract_z
Rb1 0.0000 0.2500 0.1809
Na1 0.2500 0.0000 0.0000
Hg1 0.0000 0.0000 0.5000
O1 0.0000 0.1000 0.7875
```

4.
For Pm2Y3Ho8, a DFT-relaxed cell (GGA-PBE, Alexandria) gives the simulated X-ray diffraction stick pattern in this record (Cu Kα (λ = 1.5418 Å)).
Intensities are scaled so that the largest is 100.

Principal peaks in the range 10° ≤ 2θ ≤ 80°, by angle:
17.2 deg, I 14, (0 4 0)
25.0 deg, I 19, (2 2 0)
28.5 deg, I 14, (2 0 1)
29.4 deg, I 26, (1 5 1)
30.5 deg, I 34, (0 6 1)
32.2 deg, I 39, (0 0 2)
33.4 deg, I 100, (2 4 1)
34.7 deg, I 12, (0 8 0)
41.2 deg, I 10, (2 2 2)
58.2 deg, I 20, (2 4 3)

Structure:
```
data_Pm2Y3Ho8
_cell_length_a 7.5904
_cell_length_b 20.6595
_cell_length_c 5.5555
_cell_angle_alpha 90.00
_cell_angle_beta 90.00
_cell_angle_gamma 90.00
_space_group_name_H-M_alt 'C m m m'
_space_group_IT_number 65
_space_group_name_Hall '-C 2 2'
loop_
_atom_site_label
_atom_site_fract_x
_atom_site_fract_y
_atom_site_fract_z
Pm1 0.0000 0.2412 0.0000
Y1 0.0000 0.0000 0.0000
Y2 0.2147 0.5000 0.5000
Ho1 0.0000 0.1308 0.5000
Ho2 0.0000 0.3367 0.5000
Ho3 0.2130 0.3923 0.0000
```